(1)
This entry pairs a crystal structure of KTiCl2 with its calculated powder XRD pattern. Radiation: CuKα. Structure: a cell relaxed with GGA-PBE.
Intensities are scaled so that the largest is 100.

Atomic structure:
```
data_KTiCl2
_symmetry_space_group_name_H-M 'R -3 m'
_symmetry_Int_Tables_number 166
_symmetry_space_group_name_Hall '-R 3 2"'
_cell_length_a 3.8993
_cell_length_b 3.8993
_cell_length_c 27.3276
_cell_angle_alpha 90.00
_cell_angle_beta 90.00
_cell_angle_gamma 120.00
loop_
_atom_site_label
_atom_site_type_symbol
_atom_site_fract_x
_atom_site_fract_y
_atom_site_fract_z
K1 K 0.0000 0.0000 0.0000
Ti1 Ti 0.0000 0.0000 0.5000
Cl1 Cl 0.0000 0.0000 0.1176
```

The 6 most intense peaks (5 to 70 degrees two-theta), low angle first:
2θ/deg	Rel. int.
9.7	100
19.5	35
27.2	87
37.4	92
42.6	37
46.6	48

=====

(2)
This entry pairs a crystal structure of KTi5Cl12 with its calculated powder XRD pattern. Radiation: CuKα. Structure: a cell relaxed with GGA-PBE.
Intensities are scaled so that the largest is 100.

Atomic structure:
```
data_KTi5Cl12
_symmetry_space_group_name_H-M 'I m m m'
_symmetry_Int_Tables_number 71
_symmetry_space_group_name_Hall '-I 2 2'
_cell_length_a 9.4768
_cell_length_b 9.6327
_cell_length_c 9.7534
_cell_angle_alpha 90.00
_cell_angle_beta 90.00
_cell_angle_gamma 90.00
loop_
_atom_site_label
_atom_site_type_symbol
_atom_site_fract_x
_atom_site_fract_y
_atom_site_fract_z
K1 K 0.0000 0.0000 0.0000
Ti1 Ti 0.0000 0.1330 0.5000
Ti2 Ti 0.0000 0.5000 0.0000
Ti3 Ti 0.0000 0.5000 0.3628
Cl1 Cl 0.0000 0.3227 0.1794
Cl2 Cl 0.1599 0.0000 0.3453
Cl3 Cl 0.1634 0.3412 0.5000
```

The 6 most intense peaks (5 to 70 degrees two-theta), low angle first:
2θ/deg	Rel. int.
13.0	90
18.7	82
29.7	43
34.6	100
35.0	60
48.0	76

=====

(3)
This entry pairs a crystal structure of KTi4Cl7 with its calculated powder XRD pattern. Radiation: CuKα. Structure: a cell relaxed with GGA-PBE.
Intensities are scaled so that the largest is 100.

Atomic structure:
```
data_KTi4Cl7
_symmetry_space_group_name_H-M 'P m m n'
_symmetry_Int_Tables_number 59
_cell_length_a 4.9672
_cell_length_b 18.9027
_cell_length_c 5.2317
_cell_angle_alpha 90.00
_cell_angle_beta 90.00
_cell_angle_gamma 90.00
loop_
_symmetry_equiv_pos_as_xyz
'x,y,z'
'-x,-y,-z'
'-x+1/2,-y+1/2,z'
'x+1/2,y+1/2,-z'
'x+1/2,-y,-z'
'-x+1/2,y,z'
'-x,y+1/2,-z'
'x,-y+1/2,z'
loop_
_atom_site_label
_atom_site_type_symbol
_atom_site_fract_x
_atom_site_fract_y
_atom_site_fract_z
K1 K 0.2500 0.2500 0.1813
Ti1 Ti 0.2500 0.0027 0.6526
Ti2 Ti 0.2500 0.6080 0.3127
Cl1 Cl 0.2500 0.0168 0.1777
Cl2 Cl 0.2500 0.1344 0.6756
Cl3 Cl 0.2500 0.6272 0.7903
Cl4 Cl 0.2500 0.7500 0.2791
```

The 6 most intense peaks (5 to 70 degrees two-theta), low angle first:
2θ/deg	Rel. int.
9.4	100
34.3	40
36.2	82
37.9	57
38.1	52
53.5	34

=====

(4)
This entry pairs a crystal structure of K2Tl3Cl5 with its calculated powder XRD pattern. Radiation: CuKα. Structure: a cell relaxed with GGA-PBE.
Intensities are scaled so that the largest is 100.

Atomic structure:
```
data_K2Tl3Cl5
_symmetry_space_group_name_H-M 'C 1 2/m 1'
_symmetry_Int_Tables_number 12
_cell_length_a 16.4235
_cell_length_b 4.3796
_cell_length_c 11.6662
_cell_angle_alpha 90.00
_cell_angle_beta 125.66
_cell_angle_gamma 90.00
loop_
_symmetry_equiv_pos_as_xyz
'x,y,z'
'-x,-y,-z'
'-x,y,-z'
'x,-y,z'
'x+1/2,y+1/2,z'
'-x+1/2,-y+1/2,-z'
'-x+1/2,y+1/2,-z'
'x+1/2,-y+1/2,z'
loop_
_atom_site_label
_atom_site_type_symbol
_atom_site_fract_x
_atom_site_fract_y
_atom_site_fract_z
K1 K 0.1728 0.0000 0.2745
Tl1 Tl 0.0000 0.0000 0.5000
Tl2 Tl 0.1125 0.5000 0.8706
Cl1 Cl 0.0000 0.5000 0.0000
Cl2 Cl 0.1063 0.5000 0.4142
Cl3 Cl 0.2148 0.0000 0.7972
```

The 6 most intense peaks (5 to 70 degrees two-theta), low angle first:
2θ/deg	Rel. int.
10.9	94
24.9	75
27.0	100
28.8	58
35.3	29
39.5	37

=====

(5)
This entry pairs a crystal structure of K6Tl3Cl14 with its calculated powder XRD pattern. Radiation: CuKα. Structure: a cell relaxed with GGA-PBE.
Intensities are scaled so that the largest is 100.

Atomic structure:
```
data_K6Tl3Cl14
_symmetry_space_group_name_H-M 'P 3'
_symmetry_Int_Tables_number 143
_cell_length_a 11.1569
_cell_length_b 11.1569
_cell_length_c 7.1199
_cell_angle_alpha 90.00
_cell_angle_beta 90.00
_cell_angle_gamma 120.00
loop_
_symmetry_equiv_pos_as_xyz
'x,y,z'
'-y,x-y,z'
'-x+y,-x,z'
loop_
_atom_site_label
_atom_site_type_symbol
_atom_site_fract_x
_atom_site_fract_y
_atom_site_fract_z
K1 K 0.0178 0.5507 0.0000
K2 K 0.2866 0.1021 0.5476
Tl1 Tl 0.0000 0.0000 0.9819
Tl2 Tl 0.3333 0.6667 0.4395
Tl3 Tl 0.6667 0.3333 0.3633
Cl1 Cl 0.0000 0.0000 0.3621
Cl2 Cl 0.0939 0.8441 0.8118
Cl3 Cl 0.1963 0.4358 0.2908
Cl4 Cl 0.3333 0.6667 0.7865
Cl5 Cl 0.4435 0.1983 0.1506
Cl6 Cl 0.5318 0.4239 0.5734
```

The 6 most intense peaks (5 to 70 degrees two-theta), low angle first:
2θ/deg	Rel. int.
15.5	81
15.9	100
22.2	59
27.4	52
29.8	34
32.1	43

=====

(6)
This entry pairs a crystal structure of KTlCl3 with its calculated powder XRD pattern. Radiation: CuKα. Structure: a cell relaxed with GGA-PBE.
Intensities are scaled so that the largest is 100.

Atomic structure:
```
data_KTlCl3
_symmetry_space_group_name_H-M 'F m -3 m'
_symmetry_Int_Tables_number 225
_symmetry_space_group_name_Hall '-F 4 2 3'
_cell_length_a 11.1917
_cell_length_b 11.1917
_cell_length_c 11.1917
_cell_angle_alpha 90.00
_cell_angle_beta 90.00
_cell_angle_gamma 90.00
loop_
_atom_site_label
_atom_site_type_symbol
_atom_site_fract_x
_atom_site_fract_y
_atom_site_fract_z
K1 K 0.2500 0.2500 0.2500
Tl1 Tl 0.0000 0.0000 0.0000
Tl2 Tl 0.0000 0.0000 0.5000
Cl1 Cl 0.0000 0.0000 0.2349
```

The 6 most intense peaks (5 to 70 degrees two-theta), low angle first:
2θ/deg	Rel. int.
15.8	100
22.5	98
32.0	58
35.9	53
39.4	46
45.9	40

=====

(7)
This entry pairs a crystal structure of K4Tl3Cl8 with its calculated powder XRD pattern. Radiation: CuKα. Structure: a cell relaxed with GGA-PBE.
Intensities are scaled so that the largest is 100.

Atomic structure:
```
data_K4Tl3Cl8
_symmetry_space_group_name_H-M 'C 1 2/m 1'
_symmetry_Int_Tables_number 12
_cell_length_a 12.4377
_cell_length_b 12.6144
_cell_length_c 8.8757
_cell_angle_alpha 90.00
_cell_angle_beta 133.92
_cell_angle_gamma 90.00
loop_
_symmetry_equiv_pos_as_xyz
'x,y,z'
'-x,-y,-z'
'-x,y,-z'
'x,-y,z'
'x+1/2,y+1/2,z'
'-x+1/2,-y+1/2,-z'
'-x+1/2,y+1/2,-z'
'x+1/2,-y+1/2,z'
loop_
_atom_site_label
_atom_site_type_symbol
_atom_site_fract_x
_atom_site_fract_y
_atom_site_fract_z
K1 K 0.0000 0.0000 0.0000
K2 K 0.0000 0.5000 0.5000
K3 K 0.2500 0.2500 0.0000
Tl1 Tl 0.0000 0.5000 0.0000
Tl2 Tl 0.2500 0.2500 0.5000
Cl1 Cl 0.0000 0.2486 0.0000
Cl2 Cl 0.0000 0.2542 0.5000
Cl3 Cl 0.2356 0.5000 0.9800
Cl4 Cl 0.2477 0.5000 0.4976
```

The 6 most intense peaks (5 to 70 degrees two-theta), low angle first:
2θ/deg	Rel. int.
14.2	97
19.8	100
27.9	88
28.3	85
40.2	95
40.7	91

=====

(8)
This entry pairs a crystal structure of K3TlCl8 with its calculated powder XRD pattern. Radiation: CuKα. Structure: a cell relaxed with GGA-PBE.
Intensities are scaled so that the largest is 100.

Atomic structure:
```
data_K3TlCl8
_symmetry_space_group_name_H-M 'I 4/m m m'
_symmetry_Int_Tables_number 139
_symmetry_space_group_name_Hall '-I 4 2'
_cell_length_a 7.0708
_cell_length_b 7.0708
_cell_length_c 15.0267
_cell_angle_alpha 90.00
_cell_angle_beta 90.00
_cell_angle_gamma 90.00
loop_
_atom_site_label
_atom_site_type_symbol
_atom_site_fract_x
_atom_site_fract_y
_atom_site_fract_z
K1 K 0.0000 0.0000 0.0000
K2 K 0.0000 0.5000 0.2500
Tl1 Tl 0.0000 0.0000 0.5000
Cl1 Cl 0.2268 0.2268 0.3874
```

The 6 most intense peaks (5 to 70 degrees two-theta), low angle first:
2θ/deg	Rel. int.
11.8	36
13.8	89
21.3	100
34.8	91
35.9	42
42.2	32